(1)
This entry pairs a crystal structure of HfMoPb with its theoretical powder XRD pattern. Radiation: λ = 1.5418 Å (Cu Kα). Structure: a cell relaxed with PBE.
Kinematic intensities with the Lorentz-polarization factor, no thermal factor.

Principal peaks in the range 5° ≤ 2θ ≤ 70°, in order of rising 2θ:
two_theta	d [Å]	intensity
29.58	3.020	16
32.76	2.733	14
33.11	2.706	16
33.74	2.657	38
35.79	2.509	22
36.04	2.492	100
37.54	2.396	54
47.85	1.901	12
55.67	1.651	13
56.68	1.624	19

Structural model:
a b c (Å): 5.334 3.302 7.725
angles (deg): 90.00 105.05 90.00
Positions (direct):
Hf (0.124, 0.250, 0.174)
Hf (0.876, 0.750, 0.826)
Mo (0.361, 0.250, 0.894)
Mo (0.639, 0.750, 0.106)
Pb (0.271, 0.750, 0.551)
Pb (0.729, 0.250, 0.449)


(2)
This entry pairs a crystal structure of Hf7MoPd2 with its theoretical powder XRD pattern. Radiation: λ = 1.5418 Å (Cu Kα). Structure: a cell relaxed with PBE.
Kinematic intensities with the Lorentz-polarization factor, no thermal factor.

Principal peaks in the range 5° ≤ 2θ ≤ 70°, in order of rising 2θ:
two_theta	d [Å]	intensity
17.69	5.015	40
25.11	3.546	4
30.88	2.895	82
35.81	2.507	100
40.21	2.243	20
51.55	1.773	71
54.93	1.672	10
61.31	1.512	35
64.35	1.448	24
67.32	1.391	5

Structural model:
a b c (Å): 7.092 7.092 7.092
angles (deg): 60.00 60.00 60.00
Positions (direct):
Hf (0.000, 0.000, 0.000)
Hf (0.254, 0.254, 0.746)
Hf (0.254, 0.746, 0.254)
Hf (0.254, 0.746, 0.746)
Hf (0.746, 0.254, 0.254)
Hf (0.746, 0.254, 0.746)
Hf (0.746, 0.746, 0.254)
Mo (0.500, 0.500, 0.500)
Pd (0.250, 0.250, 0.250)
Pd (0.750, 0.750, 0.750)


(3)
This entry pairs a crystal structure of Hf4MoPd with its theoretical powder XRD pattern. Radiation: λ = 1.5418 Å (Cu Kα). Structure: a cell relaxed with PBE.
Kinematic intensities with the Lorentz-polarization factor, no thermal factor.

Principal peaks in the range 5° ≤ 2θ ≤ 70°, in order of rising 2θ:
two_theta	d [Å]	intensity
27.93	3.194	9
34.74	2.582	3
37.41	2.404	100
37.88	2.375	50
52.34	1.748	4
53.21	1.721	8
54.65	1.679	17
67.16	1.394	16
68.11	1.377	35
69.60	1.351	3

Structural model:
a b c (Å): 3.359 3.359 10.328
angles (deg): 90.00 90.00 90.00
Positions (direct):
Hf (0.000, 0.000, 0.154)
Hf (0.000, 0.000, 0.846)
Hf (0.500, 0.500, 0.341)
Hf (0.500, 0.500, 0.659)
Mo (0.500, 0.500, 0.000)
Pd (0.000, 0.000, 0.500)


(4)
This entry pairs a crystal structure of Hf6MoPt with its theoretical powder XRD pattern. Radiation: λ = 1.5418 Å (Cu Kα). Structure: a cell relaxed with PBE.
Kinematic intensities with the Lorentz-polarization factor, no thermal factor.

Principal peaks in the range 5° ≤ 2θ ≤ 70°, in order of rising 2θ:
two_theta	d [Å]	intensity
29.67	3.011	3
36.46	2.464	100
38.65	2.330	46
45.86	1.979	3
49.08	1.856	9
54.06	1.696	3
55.81	1.647	16
64.15	1.452	16
68.52	1.369	32
69.43	1.354	3

Structural model:
a b c (Å): 4.659 4.659 14.849
angles (deg): 90.00 90.00 90.00
Positions (direct):
Hf (0.000, 0.000, 0.245)
Hf (0.000, 0.000, 0.755)
Hf (0.000, 0.500, 0.111)
Hf (0.000, 0.500, 0.389)
Hf (0.000, 0.500, 0.611)
Hf (0.000, 0.500, 0.889)
Hf (0.500, 0.000, 0.111)
Hf (0.500, 0.000, 0.389)
Hf (0.500, 0.000, 0.611)
Hf (0.500, 0.000, 0.889)
Hf (0.500, 0.500, 0.255)
Hf (0.500, 0.500, 0.745)
Mo (0.000, 0.000, 0.000)
Mo (0.500, 0.500, 0.500)
Pt (0.000, 0.000, 0.500)
Pt (0.500, 0.500, 0.000)


(5)
This entry pairs a crystal structure of Hf4MoRh3 with its theoretical powder XRD pattern. Radiation: λ = 1.5418 Å (Cu Kα). Structure: a cell relaxed with PBE.
Kinematic intensities with the Lorentz-polarization factor, no thermal factor.

Principal peaks in the range 5° ≤ 2θ ≤ 70°, in order of rising 2θ:
two_theta	d [Å]	intensity
26.65	3.344	4
27.51	3.242	8
38.68	2.328	100
39.30	2.293	48
48.12	1.891	4
54.90	1.672	9
56.79	1.621	16
62.49	1.486	2
63.80	1.459	2
69.59	1.351	18

Structural model:
a b c (Å): 3.344 4.590 9.162
angles (deg): 90.00 90.00 90.00
Positions (direct):
Hf (0.000, 0.000, 0.000)
Hf (0.000, 0.000, 0.500)
Hf (0.000, 0.500, 0.247)
Hf (0.000, 0.500, 0.753)
Mo (0.500, 0.500, 0.000)
Rh (0.500, 0.000, 0.257)
Rh (0.500, 0.000, 0.743)
Rh (0.500, 0.500, 0.500)


(6)
This entry pairs a crystal structure of HfSc2MoRh with its theoretical powder XRD pattern. Radiation: λ = 1.5418 Å (Cu Kα). Structure: a cell relaxed with PBE.
Kinematic intensities with the Lorentz-polarization factor, no thermal factor.

Principal peaks in the range 5° ≤ 2θ ≤ 70°, in order of rising 2θ:
two_theta	d [Å]	intensity
25.93	3.437	80
26.26	3.394	97
32.03	2.794	93
36.50	2.462	54
37.48	2.400	100
45.52	1.993	45
46.13	1.968	35
53.31	1.718	70
54.04	1.697	34
66.98	1.397	35

Structural model:
a b c (Å): 4.800 4.800 4.923
angles (deg): 90.00 90.00 90.00
Positions (direct):
Hf (0.000, 0.000, 0.000)
Sc (0.000, 0.500, 0.500)
Sc (0.500, 0.000, 0.500)
Mo (0.500, 0.500, 0.000)
Rh (0.500, 0.500, 0.500)


(7)
This entry pairs a crystal structure of HfMoS3 with its theoretical powder XRD pattern. Radiation: λ = 1.5418 Å (Cu Kα). Structure: a cell relaxed with PBE.
Kinematic intensities with the Lorentz-polarization factor, no thermal factor.

Principal peaks in the range 5° ≤ 2θ ≤ 70°, in order of rising 2θ:
two_theta	d [Å]	intensity
18.12	4.896	25
25.73	3.462	100
36.71	2.448	48
41.23	2.190	12
45.37	1.999	44
52.89	1.731	32
56.38	1.632	6
59.72	1.548	20
66.11	1.413	11
69.18	1.358	3

Structural model:
a b c (Å): 4.896 4.896 4.896
angles (deg): 90.00 90.00 90.00
Positions (direct):
Hf (0.000, 0.000, 0.000)
Mo (0.500, 0.500, 0.500)
S (0.000, 0.000, 0.500)
S (0.000, 0.500, 0.000)
S (0.500, 0.000, 0.000)


(8)
This entry pairs a crystal structure of Hf9SiMo4 with its theoretical powder XRD pattern. Radiation: λ = 1.5418 Å (Cu Kα). Structure: a cell relaxed with PBE.
Kinematic intensities with the Lorentz-polarization factor, no thermal factor.

Principal peaks in the range 5° ≤ 2θ ≤ 70°, in order of rising 2θ:
two_theta	d [Å]	intensity
31.54	2.836	50
33.11	2.705	27
36.03	2.493	21
37.53	2.397	55
37.95	2.371	100
39.30	2.292	37
41.84	2.159	27
62.93	1.477	30
65.38	1.427	28
66.05	1.415	27

Structural model:
a b c (Å): 8.636 8.636 8.705
angles (deg): 90.00 90.00 120.00
Positions (direct):
Hf (0.074, 0.537, 0.250)
Hf (0.198, 0.395, 0.545)
Hf (0.198, 0.395, 0.955)
Hf (0.198, 0.802, 0.545)
Hf (0.198, 0.802, 0.955)
Hf (0.395, 0.198, 0.045)
Hf (0.395, 0.198, 0.455)
Hf (0.463, 0.537, 0.250)
Hf (0.463, 0.926, 0.250)
Hf (0.537, 0.074, 0.750)
Hf (0.537, 0.463, 0.750)
Hf (0.605, 0.802, 0.545)
Hf (0.605, 0.802, 0.955)
Hf (0.802, 0.198, 0.045)
Hf (0.802, 0.198, 0.455)
Hf (0.802, 0.605, 0.045)
Hf (0.802, 0.605, 0.455)
Hf (0.926, 0.463, 0.750)
Si (0.333, 0.667, 0.750)
Si (0.667, 0.333, 0.250)
Mo (0.000, 0.000, 0.000)
Mo (0.000, 0.000, 0.500)
Mo (0.110, 0.221, 0.250)
Mo (0.110, 0.890, 0.250)
Mo (0.221, 0.110, 0.750)
Mo (0.779, 0.890, 0.250)
Mo (0.890, 0.110, 0.750)
Mo (0.890, 0.779, 0.750)


(9)
This entry pairs a crystal structure of HfSnMo with its theoretical powder XRD pattern. Radiation: λ = 1.5418 Å (Cu Kα). Structure: a cell relaxed with PBE.
Kinematic intensities with the Lorentz-polarization factor, no thermal factor.

Principal peaks in the range 5° ≤ 2θ ≤ 70°, in order of rising 2θ:
two_theta	d [Å]	intensity
25.20	3.534	17
30.18	2.962	31
32.79	2.731	36
38.21	2.356	18
39.71	2.270	100
43.20	2.094	47
50.67	1.802	11
59.02	1.565	20
62.75	1.481	16
69.63	1.350	11

Structural model:
a b c (Å): 4.188 4.188 14.134
angles (deg): 90.00 90.00 90.00
Positions (direct):
Hf (0.000, 0.000, 0.145)
Hf (0.000, 0.000, 0.855)
Hf (0.500, 0.500, 0.355)
Hf (0.500, 0.500, 0.645)
Sn (0.000, 0.000, 0.358)
Sn (0.000, 0.000, 0.642)
Sn (0.500, 0.500, 0.142)
Sn (0.500, 0.500, 0.858)
Mo (0.000, 0.500, 0.000)
Mo (0.000, 0.500, 0.500)
Mo (0.500, 0.000, 0.000)
Mo (0.500, 0.000, 0.500)


(10)
This entry pairs a crystal structure of HfTaMo with its theoretical powder XRD pattern. Radiation: λ = 1.5418 Å (Cu Kα). Structure: a cell relaxed with PBE.
Kinematic intensities with the Lorentz-polarization factor, no thermal factor.

Principal peaks in the range 5° ≤ 2θ ≤ 70°, in order of rising 2θ:
two_theta	d [Å]	intensity
33.18	2.700	53
35.68	2.516	65
35.87	2.503	45
38.47	2.340	69
39.00	2.309	100
39.39	2.288	70
40.08	2.249	32
62.43	1.487	25
65.56	1.424	29
69.64	1.350	27

Structural model:
a b c (Å): 8.912 5.402 5.402
angles (deg): 61.20 90.00 90.00
Positions (direct):
Hf (0.183, 0.000, 0.000)
Hf (0.308, 0.666, 0.666)
Hf (0.692, 0.666, 0.666)
Hf (0.817, 0.000, 0.000)
Ta (0.245, 0.331, 0.331)
Ta (0.500, 0.165, 0.675)
Ta (0.500, 0.675, 0.165)
Ta (0.755, 0.331, 0.331)
Mo (0.000, 0.504, 0.504)
Mo (0.000, 0.506, 0.988)
Mo (0.000, 0.988, 0.506)
Mo (0.500, 0.166, 0.166)


(11)
This entry pairs a crystal structure of Hf4TiMo with its theoretical powder XRD pattern. Radiation: λ = 1.5418 Å (Cu Kα). Structure: a cell relaxed with PBE.
Kinematic intensities with the Lorentz-polarization factor, no thermal factor.

Principal peaks in the range 5° ≤ 2θ ≤ 70°, in order of rising 2θ:
two_theta	d [Å]	intensity
23.68	3.757	11
26.36	3.381	29
27.92	3.195	52
38.77	2.322	100
39.90	2.259	48
48.45	1.879	23
57.70	1.598	17
62.11	1.494	10
64.51	1.445	10
69.43	1.354	17

Structural model:
a b c (Å): 4.519 4.519 6.763
angles (deg): 90.00 90.00 90.00
Positions (direct):
Hf (0.000, 0.500, 0.237)
Hf (0.000, 0.500, 0.763)
Hf (0.500, 0.000, 0.237)
Hf (0.500, 0.000, 0.763)
Ti (0.000, 0.000, 0.500)
Mo (0.500, 0.500, 0.000)


(12)
This entry pairs a crystal structure of HfTiMo14 with its theoretical powder XRD pattern. Radiation: λ = 1.5418 Å (Cu Kα). Structure: a cell relaxed with PBE.
Kinematic intensities with the Lorentz-polarization factor, no thermal factor.

Principal peaks in the range 5° ≤ 2θ ≤ 70°, in order of rising 2θ:
two_theta	d [Å]	intensity
17.10	5.186	2
19.76	4.494	3
26.22	3.399	1
34.53	2.598	1
40.11	2.248	100
57.93	1.592	11
58.18	1.586	5

Structural model:
a b c (Å): 5.508 5.508 9.001
angles (deg): 90.00 90.00 109.71
Positions (direct):
Hf (0.000, 0.000, 0.000)
Ti (0.500, 0.500, 0.000)
Mo (0.000, 0.000, 0.500)
Mo (0.000, 0.500, 0.000)
Mo (0.000, 0.500, 0.500)
Mo (0.251, 0.749, 0.250)
Mo (0.251, 0.749, 0.750)
Mo (0.252, 0.252, 0.257)
Mo (0.252, 0.252, 0.743)
Mo (0.500, 0.000, 0.000)
Mo (0.500, 0.000, 0.500)
Mo (0.500, 0.500, 0.500)
Mo (0.748, 0.748, 0.257)
Mo (0.748, 0.748, 0.743)
Mo (0.749, 0.251, 0.250)
Mo (0.749, 0.251, 0.750)